(1)
This entry pairs a crystal structure of Th2Ga2Pd3 with its calculated powder X-ray diffraction pattern. Radiation: Cu Kα. Structure: DFT lattice parameters and positions (PBE).

Structure:
a b c (Å): 9.965 9.965 7.239
angles (deg): 90.00 90.00 156.05
Element x y z (fractional)
Th (0.061, 0.939, 0.750)
Th (0.152, 0.848, 0.250)
Th (0.848, 0.152, 0.750)
Th (0.939, 0.061, 0.250)
Ga (0.306, 0.694, 0.056)
Ga (0.306, 0.694, 0.444)
Ga (0.694, 0.306, 0.556)
Ga (0.694, 0.306, 0.944)
Pd (0.226, 0.774, 0.750)
Pd (0.434, 0.566, 0.549)
Pd (0.434, 0.566, 0.951)
Pd (0.566, 0.434, 0.049)
Pd (0.566, 0.434, 0.451)
Pd (0.774, 0.226, 0.250)

Peak list (6 most intense, 10 to 90 degrees two-theta, in order of rising 2θ)
d_spacing, 2θ/deg, I_rel
2.964, 30.15, 28.7
2.697, 33.21, 96.5
2.641, 33.94, 100.0
2.163, 41.77, 30.3
2.068, 43.78, 31.1
1.696, 54.09, 24.9


(2)
This entry pairs a crystal structure of ThGaPd4 with its calculated powder X-ray diffraction pattern. Radiation: Cu Kα. Structure: DFT lattice parameters and positions (PBE).

Structure:
a b c (Å): 5.559 8.723 4.513
angles (deg): 90.00 90.00 90.00
Element x y z (fractional)
Th (0.000, 0.000, 0.000)
Th (0.500, 0.500, 0.000)
Ga (0.000, 0.500, 0.500)
Ga (0.500, 0.000, 0.500)
Pd (0.005, 0.338, 0.000)
Pd (0.240, 0.755, 0.500)
Pd (0.260, 0.255, 0.500)
Pd (0.495, 0.838, 0.000)
Pd (0.505, 0.162, 0.000)
Pd (0.740, 0.745, 0.500)
Pd (0.760, 0.245, 0.500)
Pd (0.995, 0.662, 0.000)

Peak list (6 most intense, 10 to 90 degrees two-theta, in order of rising 2θ)
d_spacing, 2θ/deg, I_rel
3.136, 28.46, 34.6
2.576, 34.82, 37.5
2.367, 38.02, 75.1
2.344, 38.41, 37.3
2.257, 39.95, 51.7
2.237, 40.31, 100.0


(3)
This entry pairs a crystal structure of Th2Ga3Pd5 with its calculated powder X-ray diffraction pattern. Radiation: Cu Kα. Structure: DFT lattice parameters and positions (PBE).

Structure:
a b c (Å): 12.595 12.595 7.046
angles (deg): 90.00 90.00 160.22
Element x y z (fractional)
Th (0.024, 0.976, 0.500)
Th (0.321, 0.679, 0.509)
Th (0.679, 0.321, 0.009)
Th (0.976, 0.024, 0.000)
Ga (0.102, 0.898, 0.159)
Ga (0.282, 0.718, 0.058)
Ga (0.440, 0.560, 0.319)
Ga (0.560, 0.440, 0.819)
Ga (0.718, 0.282, 0.558)
Ga (0.898, 0.102, 0.659)
Pd (0.115, 0.885, 0.772)
Pd (0.196, 0.804, 0.341)
Pd (0.227, 0.773, 0.752)
Pd (0.383, 0.617, 0.992)
Pd (0.457, 0.543, 0.693)
Pd (0.543, 0.457, 0.193)
Pd (0.617, 0.383, 0.492)
Pd (0.773, 0.227, 0.252)
Pd (0.804, 0.196, 0.841)
Pd (0.885, 0.115, 0.272)

Peak list (6 most intense, 10 to 90 degrees two-theta, in order of rising 2θ)
d_spacing, 2θ/deg, I_rel
2.682, 33.41, 18.3
2.594, 34.58, 100.0
2.556, 35.12, 79.6
2.341, 38.46, 23.0
2.196, 41.10, 23.6
2.164, 41.75, 41.7